1.
For Sm2ZnPt, the PBE geometry in Alexandria gives the theoretical XRD peak list in this record (copper Kα).
Lines closer than 0.1° are merged.

Largest 10 diffraction maxima, by angle, 10° ≤ 2θ ≤ 90°:
2theta, intensity
30.95, 77
31.85, 100
32.49, 28
32.76, 42
38.16, 80
38.39, 53
39.51, 63
40.39, 55
46.98, 36
63.01, 30

Structure:
```
8
Lattice="5.9477 0.0000 0.0000 0.0000 4.5614 0.0000 -2.8956 0.0000 7.1320" Properties=species:S:1:pos:R:3 pbc="T T T"
Sm -0.1187 1.1403 2.9634
Sm 1.4753 3.4210 0.5006
Sm 1.5768 1.1403 6.6314
Sm 3.1708 3.4210 4.1687
Zn 0.1786 3.4210 5.0352
Zn 2.8735 1.1403 2.0968
Pt -1.4117 1.1403 5.6280
Pt 4.4637 3.4210 1.5040
```



2.
For Tl2HgGe, the PBE geometry in Alexandria gives the theoretical XRD peak list in this record (copper Kα).
Lines closer than 0.1° are merged.

Largest 10 diffraction maxima, by angle, 10° ≤ 2θ ≤ 90°:
2theta, intensity
27.93, 10
32.53, 100
37.45, 36
38.30, 14
54.00, 13
54.65, 21
64.47, 29
65.63, 10
68.13, 11
89.98, 9

Structure:
```
4
Lattice="3.3962 0.0000 0.0000 0.0000 3.3962 0.0000 0.0000 0.0000 9.3993" Properties=species:S:1:pos:R:3 pbc="T T T"
Tl 0.0000 0.0000 2.1645
Tl 0.0000 0.0000 7.2347
Hg 1.6981 1.6981 4.6996
Ge 1.6981 1.6981 0.0000
```



3.
For In16Ga12Ag, the PBE geometry in Alexandria gives the theoretical XRD peak list in this record (copper Kα).
Lines closer than 0.1° are merged.

Largest 10 diffraction maxima, by angle, 10° ≤ 2θ ≤ 90°:
2theta, intensity
30.19, 28
32.04, 22
32.18, 77
32.45, 59
34.28, 34
34.93, 31
35.17, 44
35.68, 65
36.49, 100
39.03, 21

Structure:
```
29
Lattice="5.7054 -7.2626 0.0000 5.7054 7.2626 0.0000 -4.1635 0.0000 8.2818" Properties=species:S:1:pos:R:3 pbc="T T T"
In 0.0000 0.0000 0.0000
In -2.6480 0.0000 5.3281
In -0.4128 2.1972 5.4711
In -1.8259 1.9930 8.2464
In 0.5159 4.3026 8.1765
In 1.3802 1.6361 2.9928
In -1.8259 -1.9930 8.2464
In 4.7497 2.8315 2.9762
In 3.1175 2.6909 6.0542
In -0.4128 -2.1972 5.4711
In 1.3802 -1.6361 2.9928
In 0.5159 -4.3026 8.1765
In 6.7224 0.0000 2.6782
In 4.1074 0.0000 7.9713
In 3.1175 -2.6909 6.0542
In 4.7497 -2.8315 2.9762
Ga 2.0893 4.4696 3.9299
Ga 4.0422 5.8861 2.5088
Ga 1.1651 1.3957 8.1746
Ga 3.7242 0.0000 1.7534
Ga 7.4551 2.6709 1.1697
Ga 4.0049 0.0000 4.4652
Ga 1.1651 -1.3957 8.1746
Ga 2.0893 -4.4696 3.9299
Ga 6.0517 1.5067 5.6035
Ga 4.0422 -5.8861 2.5088
Ga 6.0517 -1.5067 5.6035
Ga 7.4551 -2.6709 1.1697
Ag 1.6240 0.0000 5.7640
```



4.
For PaTl2IrO6, the PBE geometry in Alexandria gives the theoretical XRD peak list in this record (copper Kα).
Lines closer than 0.1° are merged.

Largest 10 diffraction maxima, by angle, 10° ≤ 2θ ≤ 90°:
2theta, intensity
26.77, 45
29.16, 100
39.99, 35
45.71, 11
50.24, 13
51.69, 25
54.89, 9
60.43, 14
67.28, 10
83.49, 12

Structure:
```
20
Lattice="3.0636 1.7688 9.9829 -3.0636 1.7688 9.9829 0.0000 -3.5376 9.9829" Properties=species:S:1:pos:R:3 pbc="T T T"
Pa 0.0000 0.0000 2.8576
Pa 0.0000 0.0000 27.0911
Tl 0.0000 0.0000 6.6231
Tl 0.0000 0.0000 10.7540
Tl 0.0000 0.0000 19.1947
Tl 0.0000 0.0000 23.3256
Ir 0.0000 0.0000 0.0000
Ir 0.0000 0.0000 14.9744
O 0.0000 -1.9601 8.7500
O -1.6975 0.9801 8.7500
O -1.4329 -0.8273 16.0715
O 0.0000 -1.6545 13.8772
O -1.4329 0.8273 13.8772
O -1.6975 -0.9801 21.1987
O 1.6975 0.9801 8.7500
O 1.4329 -0.8273 16.0715
O 0.0000 1.6545 16.0715
O 1.4329 0.8273 13.8772
O 1.6975 -0.9801 21.1987
O 0.0000 1.9601 21.1987
```



5.
For KPtBr6, the PBE geometry in Alexandria gives the theoretical XRD peak list in this record (copper Kα).
Lines closer than 0.1° are merged.

Largest 10 diffraction maxima, by angle, 10° ≤ 2θ ≤ 90°:
2theta, intensity
13.25, 78
14.74, 96
15.66, 100
18.01, 49
23.36, 40
24.64, 49
34.00, 79
36.48, 43
37.89, 48
48.21, 47

Structure:
```
16
Lattice="9.9206 0.0000 0.0000 0.0000 8.5894 0.0000 -4.1774 0.0000 6.6815" Properties=species:S:1:pos:R:3 pbc="T T T"
K 0.0000 0.0000 0.0000
K 4.9603 4.2947 0.0000
Pt -2.0887 4.2947 3.3407
Pt 2.8716 0.0000 3.3407
Br -1.6940 2.5298 5.0796
Br -1.6940 6.0596 5.0796
Br 0.3396 4.2947 2.8226
Br 0.4433 0.0000 3.8589
Br 2.4769 1.7649 1.6019
Br 2.4769 6.8245 1.6019
Br 3.2663 1.7649 5.0796
Br 3.2663 6.8245 5.0796
Br 5.2999 0.0000 2.8226
Br 5.4036 4.2947 3.8589
Br 7.4372 2.5298 1.6019
Br 7.4372 6.0596 1.6019
```



6.
For CoCuReP2, the PBE geometry in Alexandria gives the theoretical XRD peak list in this record (copper Kα).
Lines closer than 0.1° are merged.

Largest 10 diffraction maxima, by angle, 10° ≤ 2θ ≤ 90°:
2theta, intensity
19.71, 100
27.07, 81
28.02, 76
37.22, 40
40.04, 65
42.47, 29
45.01, 24
47.23, 37
49.00, 32
55.82, 48

Structure:
```
5
Lattice="4.5032 0.0000 0.0000 0.0000 4.5032 0.0000 0.0000 0.0000 4.8309" Properties=species:S:1:pos:R:3 pbc="T T T"
Co 0.0000 0.0000 0.0000
Cu 2.2516 2.2516 0.0000
Re 2.2516 2.2516 2.4155
P 0.0000 2.2516 2.4155
P 2.2516 0.0000 2.4155
```